Starting from a GGA+U-relaxed structure, the powder XRD pattern of CoSb2O4 was calculated for Cu Ka.
Neutral-atom scattering factors, no anomalous dispersion.

Most intense lines, 2θ = 10–90°, by angle:
- d 4.301, intensity 12, (2 0 0)
- d 3.249, intensity 100, (1 2 1)
- d 3.039, intensity 25, (0 0 2)
- d 2.719, intensity 33, (3 1 0)
- d 2.480, intensity 23, (2 0 2)
- d 1.973, intensity 32, (1 4 1)
- d 1.791, intensity 18, (2 1 3)
- d 1.686, intensity 24, (3 3 2)
- d 1.475, intensity 13, (5 3 0)
- d 1.452, intensity 11, (1 4 3)

Crystal structure
Cell lengths 8.6018, 8.6018, 6.0700 Å; angles 90.00, 90.00, 90.00 degrees
Positions (direct):
1 Co 0.0000 0.5000 0.2461
2 Co 0.0000 0.5000 0.7539
3 Co 0.5000 0.0000 0.2539
4 Co 0.5000 0.0000 0.7461
5 Sb 0.1655 0.1779 0.5000
6 Sb 0.1779 0.8345 0.0000
7 Sb 0.3274 0.3342 0.0000
8 Sb 0.3342 0.6726 0.5000
9 Sb 0.6658 0.3274 0.5000
10 Sb 0.6726 0.6658 0.0000
11 Sb 0.8221 0.1655 0.0000
12 Sb 0.8345 0.8221 0.5000
13 O 0.0997 0.3623 0.0000
14 O 0.1374 0.4049 0.5000
15 O 0.1789 0.6771 0.2487
16 O 0.1789 0.6771 0.7513
17 O 0.3229 0.1789 0.2513
18 O 0.3229 0.1789 0.7487
19 O 0.3623 0.9003 0.5000
20 O 0.4049 0.8626 0.0000
21 O 0.5951 0.1374 0.0000
22 O 0.6377 0.0997 0.5000
23 O 0.6771 0.8211 0.2513
24 O 0.6771 0.8211 0.7487
25 O 0.8211 0.3229 0.2487
26 O 0.8211 0.3229 0.7513
27 O 0.8626 0.5951 0.5000
28 O 0.9003 0.6377 0.0000